[1]
Computed powder XRD pattern of As2RhW for Cu Kα (λ = 1.5418 Å), from a DFT-relaxed cell (GGA-PBE, Alexandria).
Peak positions follow from Bragg's law for the DFT cell and can differ from measured ones.

Top 10 peaks for 2θ = 15–90°, sorted by position:
2θ 19.6, 4.526 Å, intensity 46
2θ 32.5, 2.758 Å, intensity 43
2θ 34.8, 2.575 Å, intensity 18
2θ 37.7, 2.384 Å, intensity 53
2θ 38.0, 2.368 Å, intensity 100
2θ 42.7, 2.117 Å, intensity 52
2θ 44.4, 2.042 Å, intensity 75
2θ 49.8, 1.829 Å, intensity 23
2θ 50.8, 1.797 Å, intensity 24
2θ 54.8, 1.674 Å, intensity 22

Crystal structure
```
As2RhW
1.0
3.1100 0.0000 0.0000
0.0000 4.7385 0.0000
-0.7526 0.0000 4.5264
As Rh W
2 1 1
direct
0.0000 0.0000 0.0000
0.3596 0.5000 0.3330
0.9496 0.5000 0.7658
0.3868 0.0000 0.5623
```

***

[2]
Computed powder XRD pattern of YAs2Rh3 for Cu Kα (λ = 1.5418 Å), from a DFT-relaxed cell (GGA-PBE, Alexandria).
Peak positions follow from Bragg's law for the DFT cell and can differ from measured ones.

Top 10 peaks for 2θ = 15–90°, sorted by position:
2θ 16.8, 5.274 Å, intensity 13
2θ 31.4, 2.846 Å, intensity 15
2θ 35.5, 2.529 Å, intensity 100
2θ 37.0, 2.430 Å, intensity 30
2θ 40.0, 2.251 Å, intensity 23
2θ 43.5, 2.082 Å, intensity 26
2θ 45.0, 2.016 Å, intensity 25
2θ 45.5, 1.993 Å, intensity 43
2θ 46.7, 1.946 Å, intensity 22
2θ 64.7, 1.441 Å, intensity 17

Crystal structure
```
YAs2Rh3
1.0
8.1988 -1.9928 0.0000
8.1988 1.9928 0.0000
-2.9935 0.0000 9.4047
Y As Rh
3 6 9
direct
0.0000 0.0000 0.0000
0.1562 0.1562 0.6962
0.8438 0.8438 0.3038
0.1948 0.1948 0.1292
0.3622 0.3622 0.5449
0.4589 0.4589 0.2189
0.5411 0.5411 0.7811
0.6378 0.6378 0.4551
0.8052 0.8052 0.8708
0.0402 0.0402 0.3258
0.2193 0.2193 0.3920
0.3198 0.3198 0.0431
0.3787 0.3787 0.7982
0.5000 0.5000 0.5000
0.6213 0.6213 0.2018
0.6802 0.6802 0.9569
0.7807 0.7807 0.6080
0.9598 0.9598 0.6742
```

***

[3]
Computed powder XRD pattern of Y3As5Rh6 for Cu Kα (λ = 1.5418 Å), from a DFT-relaxed cell (GGA-PBE, Alexandria).
Peak positions follow from Bragg's law for the DFT cell and can differ from measured ones.

Top 10 peaks for 2θ = 15–90°, sorted by position:
2θ 18.1, 4.896 Å, intensity 18
2θ 34.7, 2.583 Å, intensity 21
2θ 35.5, 2.528 Å, intensity 29
2θ 36.0, 2.498 Å, intensity 100
2θ 42.8, 2.112 Å, intensity 24
2θ 43.3, 2.090 Å, intensity 21
2θ 45.4, 1.999 Å, intensity 37
2θ 48.7, 1.871 Å, intensity 22
2θ 64.1, 1.452 Å, intensity 15
2θ 77.6, 1.230 Å, intensity 15

Crystal structure
```
Y3As5Rh6
1.0
3.9986 0.0000 0.0000
0.0000 12.6716 0.0000
0.0000 0.0000 9.7914
Y As Rh
6 10 12
direct
0.2500 0.0884 0.2446
0.2500 0.4116 0.2446
0.2500 0.7500 0.2636
0.7500 0.2500 0.7364
0.7500 0.5884 0.7554
0.7500 0.9116 0.7554
0.2500 0.0797 0.8441
0.2500 0.4203 0.8441
0.2500 0.6312 0.5350
0.2500 0.7500 0.8555
0.2500 0.8688 0.5350
0.7500 0.1312 0.4650
0.7500 0.2500 0.1445
0.7500 0.3688 0.4650
0.7500 0.5797 0.1559
0.7500 0.9203 0.1559
0.2500 0.0547 0.5971
0.2500 0.2500 0.4837
0.2500 0.2500 0.9864
0.2500 0.4453 0.5971
0.2500 0.5828 0.0091
0.2500 0.9172 0.0091
0.7500 0.0828 0.9909
0.7500 0.4172 0.9909
0.7500 0.5547 0.4029
0.7500 0.7500 0.0136
0.7500 0.7500 0.5163
0.7500 0.9453 0.4029
```

***

[4]
Computed powder XRD pattern of As4Ru3 for Cu Kα (λ = 1.5418 Å), from a DFT-relaxed cell (GGA-PBE, Alexandria).
Peak positions follow from Bragg's law for the DFT cell and can differ from measured ones.

Top 10 peaks for 2θ = 15–90°, sorted by position:
2θ 18.5, 4.793 Å, intensity 26
2θ 33.6, 2.667 Å, intensity 29
2θ 38.6, 2.331 Å, intensity 61
2θ 39.0, 2.310 Å, intensity 68
2θ 42.5, 2.127 Å, intensity 79
2θ 43.5, 2.081 Å, intensity 100
2θ 66.2, 1.411 Å, intensity 42
2θ 70.6, 1.334 Å, intensity 29
2θ 71.8, 1.314 Å, intensity 21
2θ 86.0, 1.130 Å, intensity 21

Crystal structure
```
As4Ru3
1.0
5.3350 0.0000 0.0000
-2.6675 4.6202 0.0000
0.0000 0.0000 4.7927
As Ru
4 3
direct
0.0000 0.0000 0.2476
0.0000 0.0000 0.7524
0.3333 0.6667 0.5000
0.6667 0.3333 0.5000
0.0000 0.5000 0.0000
0.5000 0.0000 0.0000
0.5000 0.5000 0.0000
```

***

[5]
Computed powder XRD pattern of As5Ru for Cu Kα (λ = 1.5418 Å), from a DFT-relaxed cell (GGA-PBE, Alexandria).
Peak positions follow from Bragg's law for the DFT cell and can differ from measured ones.

Top 10 peaks for 2θ = 15–90°, sorted by position:
2θ 16.6, 5.328 Å, intensity 43
2θ 28.0, 3.188 Å, intensity 25
2θ 33.1, 2.704 Å, intensity 47
2θ 35.4, 2.532 Å, intensity 41
2θ 36.0, 2.498 Å, intensity 100
2θ 40.1, 2.250 Å, intensity 30
2θ 44.0, 2.056 Å, intensity 41
2θ 44.9, 2.018 Å, intensity 47
2θ 46.5, 1.952 Å, intensity 43
2θ 52.1, 1.756 Å, intensity 37

Crystal structure
```
As5Ru
1.0
6.3610 -1.7553 0.0000
6.3610 1.7553 0.0000
-4.1641 0.0000 6.3859
As Ru
5 1
direct
0.0000 0.0000 0.0000
0.0055 0.0055 0.3390
0.2257 0.2257 0.1389
0.3117 0.3117 0.5286
0.6849 0.6849 0.6460
0.6418 0.6418 0.2951
```

***

[6]
Computed powder XRD pattern of AsRuS for Cu Kα (λ = 1.5418 Å), from a DFT-relaxed cell (GGA-PBE, Alexandria).
Peak positions follow from Bragg's law for the DFT cell and can differ from measured ones.

Top 10 peaks for 2θ = 15–90°, sorted by position:
2θ 23.3, 3.825 Å, intensity 59
2θ 31.7, 2.821 Å, intensity 100
2θ 35.0, 2.561 Å, intensity 36
2θ 35.2, 2.551 Å, intensity 42
2θ 44.2, 2.050 Å, intensity 34
2θ 47.7, 1.908 Å, intensity 70
2θ 49.3, 1.848 Å, intensity 24
2θ 53.2, 1.721 Å, intensity 38
2θ 53.5, 1.711 Å, intensity 24
2θ 57.6, 1.600 Å, intensity 23

Crystal structure
```
AsRuS
1.0
0.0000 5.9711 3.4227
4.9813 0.0000 3.4227
4.9813 5.9711 0.0000
As Ru S
4 4 4
direct
0.0214 0.9786 0.8404
0.0904 0.4096 0.2714
0.4096 0.0904 0.2286
0.9786 0.0214 0.1596
0.2636 0.7377 0.2523
0.5036 0.9977 0.5123
0.7377 0.2636 0.7464
0.9977 0.5036 0.9864
0.4624 0.5406 0.6642
0.5406 0.4624 0.3329
0.5858 0.9171 0.7876
0.9171 0.5858 0.7094
```